Starting from a cell relaxed with GGA-PBE, the powder X-ray diffraction pattern of SrEr2S4 was computed for Cu Ka.

Crystal structure
Lattice parameters (Å, degrees): 11.970 3.970 14.282 90.00 90.00 90.00
Space group Pnma (No. 62)
Inequivalent atoms, fractional coordinates:
Sr (0.243, 0.250, 0.162)
Er (0.069, 0.250, 0.390)
Er (0.080, 0.250, 0.899)
S (0.021, 0.750, 0.784)
S (0.084, 0.250, 0.578)
S (0.130, 0.750, 0.026)
S (0.208, 0.750, 0.328)

Largest 10 diffraction maxima, in order of falling intensity, 10° ≤ 2θ ≤ 80°:
2theta  Rel. int.
25.57  100
26.75  91
45.69  62
37.05  57
24.94  46
26.95  44
37.64  36
53.10  28
14.80  25
46.06  23